Entry 1:
Tb4Er10Sc: theoretical powder XRD pattern (Cu Kα), based on a PBE-relaxed structure.
Lines closer than 0.1° are merged.

Main lines, sorted by position (15 to 90 degrees two-theta):
2θ/deg	intensity
25.1	36
28.5	69
31.9	100
32.7	91
33.9	31
34.7	33
41.7	43
54.8	39

Crystal structure
a b c (Å): 8.791 8.791 8.791
angles (deg): 100.66 100.66 129.04
Positions (direct):
Tb 0.233 0.233 0.466
Tb 0.233 0.767 0.000
Tb 0.767 0.233 0.000
Tb 0.767 0.767 0.534
Er 0.076 0.285 0.792
Er 0.250 0.750 0.500
Er 0.285 0.076 0.792
Er 0.285 0.493 0.208
Er 0.493 0.285 0.208
Er 0.507 0.715 0.792
Er 0.715 0.507 0.792
Er 0.715 0.924 0.208
Er 0.750 0.250 0.500
Er 0.924 0.715 0.208
Sc 0.000 0.000 0.000

Entry 2:
TbEr15Sc4: theoretical powder XRD pattern (Cu Kα), based on a PBE-relaxed structure.
Lines closer than 0.1° are merged.

Main lines, sorted by position (15 to 90 degrees two-theta):
2θ/deg	intensity
18.1	8
31.7	100
36.7	50
52.9	35
63.0	41
66.2	12
86.7	17
89.6	11

Crystal structure
a b c (Å): 4.895 4.895 24.443
angles (deg): 90.00 90.00 90.00
Positions (direct):
Tb 0.000 0.000 0.000
Er 0.000 0.500 0.103
Er 0.000 0.500 0.302
Er 0.000 0.500 0.500
Er 0.000 0.500 0.698
Er 0.000 0.500 0.897
Er 0.500 0.000 0.103
Er 0.500 0.000 0.302
Er 0.500 0.000 0.500
Er 0.500 0.000 0.698
Er 0.500 0.000 0.897
Er 0.500 0.500 0.000
Er 0.500 0.500 0.203
Er 0.500 0.500 0.401
Er 0.500 0.500 0.599
Er 0.500 0.500 0.797
Sc 0.000 0.000 0.202
Sc 0.000 0.000 0.401
Sc 0.000 0.000 0.599
Sc 0.000 0.000 0.798

Entry 3:
Tb3Er5Sc: theoretical powder XRD pattern (Cu Kα), based on a PBE-relaxed structure.
Lines closer than 0.1° are merged.

Main lines, sorted by position (15 to 90 degrees two-theta):
2θ/deg	intensity
16.0	46
28.1	57
28.7	91
30.4	48
32.4	100
33.3	62
34.9	75
35.4	42

Crystal structure
a b c (Å): 8.168 8.168 11.430
angles (deg): 111.52 111.52 85.11
Positions (direct):
Tb 0.000 0.000 0.000
Tb 0.000 0.000 0.500
Tb 0.218 0.218 0.344
Tb 0.320 0.320 0.759
Tb 0.680 0.680 0.241
Tb 0.782 0.782 0.656
Er 0.080 0.567 0.195
Er 0.284 0.716 0.000
Er 0.323 0.323 0.043
Er 0.433 0.920 0.805
Er 0.494 0.494 0.628
Er 0.506 0.506 0.372
Er 0.567 0.080 0.195
Er 0.677 0.677 0.957
Er 0.716 0.284 0.000
Er 0.920 0.433 0.805
Sc 0.067 0.067 0.789
Sc 0.933 0.933 0.211

Entry 4:
Tb8Er3Sc: theoretical powder XRD pattern (Cu Kα), based on a PBE-relaxed structure.
Lines closer than 0.1° are merged.

Main lines, sorted by position (15 to 90 degrees two-theta):
2θ/deg	intensity
21.7	36
24.4	59
26.3	37
32.9	27
34.7	31
36.2	100
47.2	25
67.7	24

Crystal structure
a b c (Å): 8.845 8.845 8.845
angles (deg): 98.41 98.41 135.03
Positions (direct):
Tb 0.088 0.088 0.682
Tb 0.088 0.407 0.000
Tb 0.407 0.088 0.000
Tb 0.407 0.407 0.318
Tb 0.593 0.593 0.682
Tb 0.593 0.912 0.000
Tb 0.912 0.593 0.000
Tb 0.912 0.912 0.318
Er 0.250 0.750 0.500
Er 0.500 0.500 0.000
Er 0.750 0.250 0.500
Sc 0.000 0.000 0.000

Entry 5:
Tb5ErSc6: theoretical powder XRD pattern (Cu Kα), based on a PBE-relaxed structure.
Lines closer than 0.1° are merged.

Main lines, sorted by position (15 to 90 degrees two-theta):
2θ/deg	intensity
16.2	52
30.6	35
32.1	100
32.7	32
37.4	66
41.0	16
54.4	22
64.2	26

Crystal structure
a b c (Å): 5.928 5.928 11.126
angles (deg): 95.09 95.09 119.97
Positions (direct):
Tb 0.000 0.000 0.000
Tb 0.167 0.833 0.500
Tb 0.333 0.667 0.000
Tb 0.667 0.333 0.000
Tb 0.833 0.167 0.500
Er 0.500 0.500 0.500
Sc 0.084 0.417 0.250
Sc 0.250 0.250 0.750
Sc 0.417 0.084 0.250
Sc 0.583 0.916 0.750
Sc 0.750 0.750 0.250
Sc 0.916 0.583 0.750

Entry 6:
TbEr7Sc3: theoretical powder XRD pattern (Cu Kα), based on a PBE-relaxed structure.
Lines closer than 0.1° are merged.

Main lines, sorted by position (15 to 90 degrees two-theta):
2θ/deg	intensity
19.2	22
25.5	21
27.1	33
31.4	51
32.6	70
33.5	100
33.6	44
34.2	24

Crystal structure
a b c (Å): 6.622 5.348 9.539
angles (deg): 90.00 104.52 90.00
Positions (direct):
Tb 0.000 0.000 0.000
Er 0.000 0.000 0.500
Er 0.157 0.500 0.780
Er 0.319 0.500 0.130
Er 0.456 0.000 0.330
Er 0.544 0.000 0.670
Er 0.681 0.500 0.870
Er 0.843 0.500 0.220
Sc 0.273 0.500 0.479
Sc 0.500 0.000 0.000
Sc 0.727 0.500 0.521

Entry 7:
Tb6Er2Sc3: theoretical powder XRD pattern (Cu Kα), based on a PBE-relaxed structure.
Lines closer than 0.1° are merged.

Main lines, sorted by position (15 to 90 degrees two-theta):
2θ/deg	intensity
31.6	100
31.7	32
36.6	66
52.7	23
52.9	23
62.8	32
62.9	18
65.9	12

Crystal structure
a b c (Å): 6.013 7.752 7.763
angles (deg): 107.61 104.98 97.53
Positions (direct):
Tb 0.092 0.323 0.361
Tb 0.182 0.146 0.732
Tb 0.274 0.952 0.090
Tb 0.726 0.048 0.910
Tb 0.818 0.854 0.268
Tb 0.908 0.677 0.639
Er 0.364 0.769 0.454
Er 0.636 0.231 0.546
Sc 0.000 0.500 0.000
Sc 0.455 0.588 0.823
Sc 0.545 0.412 0.177

Entry 8:
Tb2Er6Sc5: theoretical powder XRD pattern (Cu Kα), based on a PBE-relaxed structure.
Lines closer than 0.1° are merged.

Main lines, sorted by position (15 to 90 degrees two-theta):
2θ/deg	intensity
18.5	24
28.6	34
32.0	45
33.3	30
33.4	100
33.6	51
35.7	28
53.0	24

Crystal structure
a b c (Å): 11.311 19.233 3.456
angles (deg): 90.00 90.00 90.00
Positions (direct):
Tb 0.153 0.215 0.000
Tb 0.347 0.715 0.000
Tb 0.653 0.285 0.000
Tb 0.847 0.785 0.000
Er 0.057 0.920 0.000
Er 0.088 0.634 0.000
Er 0.173 0.376 0.500
Er 0.327 0.876 0.500
Er 0.412 0.134 0.000
Er 0.443 0.420 0.000
Er 0.557 0.580 0.000
Er 0.588 0.866 0.000
Er 0.673 0.124 0.500
Er 0.827 0.624 0.500
Er 0.912 0.366 0.000
Er 0.943 0.080 0.000
Sc 0.000 0.500 0.500
Sc 0.105 0.777 0.500
Sc 0.198 0.051 0.500
Sc 0.302 0.551 0.500
Sc 0.395 0.277 0.500
Sc 0.500 0.000 0.500
Sc 0.605 0.723 0.500
Sc 0.698 0.449 0.500
Sc 0.802 0.949 0.500
Sc 0.895 0.223 0.500